1.
Starting from a GGA-PBE-relaxed structure, the XRD peak list of La6SnRu was computed for CuKα.
Intensities are scaled so that the largest is 100.

Unit cell a=6.5966 b=6.5966 c=6.5861 alpha=100.22 beta=100.22 gamma=100.39
Positions (direct):
La 0.0921 0.7020 0.7027
La 0.2978 0.2978 0.9070
La 0.2980 0.9079 0.2973
La 0.7020 0.0921 0.7027
La 0.7022 0.7022 0.0930
La 0.9079 0.2980 0.2973
Sn 0.5000 0.5000 0.5000
Ru 0.0000 0.0000 0.0000

The 10 most intense peaks (10 to 90 degrees two-theta), in order of rising 2θ:
- 22.49°, 3.953 Å, intensity 33.5
- 28.65°, 3.116 Å, intensity 72.1
- 29.25°, 3.053 Å, intensity 35.6
- 33.38°, 2.684 Å, intensity 100.0
- 35.48°, 2.530 Å, intensity 33.0
- 46.62°, 1.948 Å, intensity 13.3
- 48.32°, 1.884 Å, intensity 35.3
- 53.16°, 1.723 Å, intensity 13.2
- 56.14°, 1.638 Å, intensity 17.4
- 67.26°, 1.392 Å, intensity 15.1

***

2.
Starting from a GGA-PBE-relaxed structure, the XRD peak list of La4Sn8Ru was computed for CuKα.
Intensities are scaled so that the largest is 100.

Unit cell a=4.5628 b=4.6788 c=17.1939 alpha=90.00 beta=90.00 gamma=90.00
Positions (direct):
La 0.0000 0.0000 0.0000
La 0.0000 0.5000 0.4875
La 0.5000 0.0000 0.7873
La 0.5000 0.5000 0.2924
Sn 0.0000 0.0000 0.3290
Sn 0.0000 0.0000 0.6268
Sn 0.0000 0.5000 0.1433
Sn 0.0000 0.5000 0.8514
Sn 0.5000 0.0000 0.1496
Sn 0.5000 0.0000 0.4517
Sn 0.5000 0.5000 0.6257
Sn 0.5000 0.5000 0.9648
Ru 0.0000 0.5000 0.7002

The 10 most intense peaks (10 to 90 degrees two-theta), in order of rising 2θ:
- 31.21°, 2.866 Å, intensity 15.5
- 31.52°, 2.838 Å, intensity 100.0
- 37.05°, 2.427 Å, intensity 10.3
- 38.48°, 2.339 Å, intensity 20.7
- 39.50°, 2.281 Å, intensity 19.2
- 50.35°, 1.812 Å, intensity 8.3
- 56.33°, 1.633 Å, intensity 13.8
- 65.29°, 1.429 Å, intensity 12.8
- 65.81°, 1.419 Å, intensity 8.5
- 66.69°, 1.402 Å, intensity 12.0